CaNpWO6: calculated PXRD pattern (Cu Kα, 1.54184 Å), based on a structure optimized by DFT (PBE+U).
Peak positions follow from Bragg's law for the DFT cell and can differ from measured ones.

Crystal structure
```
18
Lattice="5.576 0.000 0.000 -2.788 4.829 0.000 0.000 0.000 9.797" Properties=species:S:1:pos:R:3 pbc="T T T"
Ca 0.000 0.000 0.000
Ca 0.000 0.000 4.899
Np 0.000 3.219 2.449
Np 2.788 1.610 7.348
W 0.000 3.219 7.348
W 2.788 1.610 2.449
O -0.928 1.790 6.277
O -1.701 3.131 8.419
O 0.928 1.790 8.419
O -0.774 4.737 6.277
O 2.014 0.092 1.378
O 1.087 1.698 3.520
O 1.701 3.131 6.277
O 0.774 4.737 8.419
O 3.562 0.092 3.520
O 1.860 3.039 1.378
O 4.490 1.698 1.378
O 3.716 3.039 3.520
```

Most intense lines, 2θ = 5–70°, in order of rising 2θ:
2theta  Rel. int.  hkl
18.11  93  0 0 2
18.37  52  1 0 0
25.91  100  1 0 2
32.10  75  1 1 0
37.10  86  1 1 2
49.54  67  1 1 4